1.
Starting from a crystal structure in Alexandria, relaxed with GGA-PBE, the powder X-ray diffraction pattern of Ge3Pt2Rh was simulated for λ = 1.5418 Å (Cu Kα).
No peak broadening, texture or thermal motion is included.

Atomic structure:
Cell: 6.6587 6.6587 6.6587 Å, 59.32 59.32 59.32°
Sites, in units of the cell vectors:
Ge1 0.0896 0.7500 0.4104
Ge2 0.2500 0.5896 0.9104
Ge3 0.4104 0.0896 0.7500
Ge4 0.5896 0.9104 0.2500
Ge5 0.7500 0.4104 0.0896
Ge6 0.9104 0.2500 0.5896
Pt1 0.1673 0.1673 0.1673
Pt2 0.3327 0.3327 0.3327
Pt3 0.6673 0.6673 0.6673
Pt4 0.8327 0.8327 0.8327
Rh1 0.0000 0.0000 0.0000
Rh2 0.5000 0.5000 0.5000

Principal peaks in the range 2θ = 10–90°, by angle:
d [Å], 2θ/deg, I_rel
3.295, 27.06, 67
2.822, 31.71, 24
2.103, 43.00, 100
1.902, 47.81, 52
1.648, 55.80, 9
1.411, 66.24, 28
1.133, 85.73, 28
1.110, 88.01, 18

2.
Starting from a crystal structure in Alexandria, relaxed with GGA-PBE, the powder X-ray diffraction pattern of Sm2Ge3Pt4Rh was simulated for λ = 1.5418 Å (Cu Kα).
No peak broadening, texture or thermal motion is included.

Atomic structure:
Cell: 4.1531 4.1531 11.0129 Å, 90.00 90.00 90.00°
Sites, in units of the cell vectors:
Sm1 0.0000 0.5000 0.2449
Sm2 0.5000 0.0000 0.7551
Ge1 0.0000 0.0000 0.0000
Ge2 0.0000 0.5000 0.6324
Ge3 0.5000 0.0000 0.3676
Pt1 0.0000 0.0000 0.5000
Pt2 0.0000 0.5000 0.8516
Pt3 0.5000 0.0000 0.1484
Pt4 0.5000 0.5000 0.5000
Rh1 0.5000 0.5000 0.0000

Principal peaks in the range 2θ = 10–90°, by angle:
d [Å], 2θ/deg, I_rel
2.751, 32.55, 37
2.591, 34.62, 100
2.077, 43.59, 53
2.009, 45.14, 26
1.946, 46.68, 30
1.657, 55.44, 18
1.420, 65.77, 21
1.277, 74.24, 22

3.
Starting from a crystal structure in Alexandria, relaxed with GGA-PBE, the powder X-ray diffraction pattern of Ge2RuPt2 was simulated for λ = 1.5418 Å (Cu Kα).
No peak broadening, texture or thermal motion is included.

Atomic structure:
Cell: 6.8549 6.8549 3.3260 Å, 90.00 90.00 90.00°
Sites, in units of the cell vectors:
Ge1 0.1542 0.3458 0.0000
Ge2 0.3458 0.8458 0.0000
Ge3 0.6542 0.1542 0.0000
Ge4 0.8458 0.6542 0.0000
Ru1 0.0000 0.0000 0.0000
Ru2 0.5000 0.5000 0.0000
Pt1 0.1468 0.6468 0.5000
Pt2 0.3532 0.1468 0.5000
Pt3 0.6468 0.8532 0.5000
Pt4 0.8532 0.3532 0.5000

Principal peaks in the range 2θ = 10–90°, by angle:
d [Å], 2θ/deg, I_rel
3.066, 29.13, 22
2.742, 32.65, 20
2.254, 40.00, 100
2.168, 41.66, 43
1.663, 55.24, 12
1.487, 62.45, 9
1.319, 71.50, 17
1.189, 80.85, 20

4.
Starting from a crystal structure in Alexandria, relaxed with GGA-PBE, the powder X-ray diffraction pattern of GeRuPt2 was simulated for λ = 1.5418 Å (Cu Kα).
No peak broadening, texture or thermal motion is included.

Atomic structure:
Cell: 6.4961 4.6517 6.9207 Å, 64.88 40.42 74.71°
Sites, in units of the cell vectors:
Ge1 0.1362 0.8638 0.1362
Ge2 0.8638 0.1362 0.8638
Ru1 0.5764 0.9821 0.4236
Ru2 0.9821 0.5764 0.0179
Pt1 0.2217 0.2217 0.2783
Pt2 0.3416 0.5733 0.4267
Pt3 0.5733 0.3416 0.6584
Pt4 0.7217 0.7217 0.7783

Principal peaks in the range 2θ = 10–90°, by angle:
d [Å], 2θ/deg, I_rel
4.190, 21.20, 23
2.294, 39.27, 100
2.244, 40.19, 87
2.031, 44.61, 67
1.849, 49.30, 23
1.367, 68.65, 30
1.225, 77.98, 23
1.202, 79.77, 17

5.
Starting from a crystal structure in Alexandria, relaxed with GGA-PBE, the powder X-ray diffraction pattern of GeRuPt2 was simulated for λ = 1.5418 Å (Cu Kα).
No peak broadening, texture or thermal motion is included.

Atomic structure:
Cell: 4.1128 5.4691 5.3823 Å, 90.00 90.00 90.00°
Sites, in units of the cell vectors:
Ge1 0.0000 0.2235 0.0000
Ge2 0.0000 0.7765 0.5000
Ru1 0.5000 0.0661 0.7960
Ru2 0.5000 0.9339 0.2960
Pt1 0.0000 0.2486 0.4879
Pt2 0.0000 0.7514 0.9879
Pt3 0.5000 0.4378 0.1671
Pt4 0.5000 0.5622 0.6671

Principal peaks in the range 2θ = 10–90°, by angle:
d [Å], 2θ/deg, I_rel
2.805, 31.90, 44
2.277, 39.58, 100
2.252, 40.04, 97
2.082, 43.46, 29
2.056, 44.03, 53
1.918, 47.40, 44
1.403, 66.68, 32
1.221, 78.28, 33

6.
Starting from a crystal structure in Alexandria, relaxed with GGA-PBE, the powder X-ray diffraction pattern of GeRuPt2 was simulated for λ = 1.5418 Å (Cu Kα).
No peak broadening, texture or thermal motion is included.

Atomic structure:
Cell: 4.5132 4.9031 5.6403 Å, 90.00 99.89 90.00°
Sites, in units of the cell vectors:
Ge1 0.0312 0.0000 0.2970
Ge2 0.9688 0.5000 0.7030
Ru1 0.4816 0.2981 0.9027
Ru2 0.5184 0.7981 0.0973
Pt1 0.0352 0.4938 0.1666
Pt2 0.4168 0.7714 0.6038
Pt3 0.5832 0.2714 0.3962
Pt4 0.9648 0.9938 0.8334

Principal peaks in the range 2θ = 10–90°, by angle:
d [Å], 2θ/deg, I_rel
3.676, 24.21, 20
2.417, 37.20, 52
2.271, 39.69, 66
2.223, 40.58, 41
2.193, 41.16, 24
2.147, 42.09, 100
2.003, 45.28, 44
1.773, 51.54, 19

7.
Starting from a crystal structure in Alexandria, relaxed with GGA-PBE, the powder X-ray diffraction pattern of GeSbPt was simulated for λ = 1.5418 Å (Cu Kα).
No peak broadening, texture or thermal motion is included.

Atomic structure:
Cell: 6.5534 6.5172 6.6097 Å, 90.00 116.28 90.00°
Sites, in units of the cell vectors:
Ge1 0.1539 0.1406 0.3265
Ge2 0.1539 0.3594 0.8265
Ge3 0.8461 0.6406 0.1735
Ge4 0.8461 0.8594 0.6735
Sb1 0.3389 0.6260 0.6388
Sb2 0.3389 0.8740 0.1388
Sb3 0.6611 0.1260 0.8612
Sb4 0.6611 0.3740 0.3612
Pt1 0.2210 0.0079 0.7109
Pt2 0.2210 0.4921 0.2109
Pt3 0.7790 0.5079 0.7891
Pt4 0.7790 0.9921 0.2891

Principal peaks in the range 2θ = 10–90°, by angle:
d [Å], 2θ/deg, I_rel
4.243, 20.94, 100
2.963, 30.16, 55
2.938, 30.42, 70
2.815, 31.79, 59
2.074, 43.64, 51
2.057, 44.03, 56
2.025, 44.75, 49
1.842, 49.49, 55

8.
Starting from a crystal structure in Alexandria, relaxed with GGA-PBE, the powder X-ray diffraction pattern of Ge2SbPt7 was simulated for λ = 1.5418 Å (Cu Kα).
No peak broadening, texture or thermal motion is included.

Atomic structure:
Cell: 10.9935 10.9935 10.9935 Å, 158.99 158.99 29.89°
Sites, in units of the cell vectors:
Ge1 0.1750 0.1750 0.0000
Ge2 0.8250 0.8250 0.0000
Sb1 0.5000 0.5000 0.0000
Pt1 0.0000 0.0000 0.0000
Pt2 0.1013 0.6013 0.5000
Pt3 0.2500 0.7500 0.5000
Pt4 0.3987 0.8987 0.5000
Pt5 0.6013 0.1013 0.5000
Pt6 0.7500 0.2500 0.5000
Pt7 0.8987 0.3987 0.5000

Principal peaks in the range 2θ = 10–90°, by angle:
d [Å], 2θ/deg, I_rel
2.835, 31.56, 23
2.655, 33.75, 15
2.501, 35.91, 18
2.213, 40.78, 100
2.005, 45.24, 47
1.417, 65.90, 15
1.338, 70.38, 15
1.194, 80.47, 29

9.
Starting from a crystal structure in Alexandria, relaxed with GGA-PBE, the powder X-ray diffraction pattern of Sc5Ge5Pt2 was simulated for λ = 1.5418 Å (Cu Kα).
No peak broadening, texture or thermal motion is included.

Atomic structure:
Cell: 7.5784 7.5784 9.5045 Å, 127.66 127.66 32.25°
Sites, in units of the cell vectors:
Sc1 0.0000 0.0000 0.0000
Sc2 0.1169 0.1169 0.4196
Sc3 0.1787 0.1787 0.8286
Sc4 0.8213 0.8213 0.1714
Sc5 0.8831 0.8831 0.5804
Ge1 0.2589 0.2589 0.2900
Ge2 0.4388 0.4388 0.1453
Ge3 0.5000 0.5000 0.5000
Ge4 0.5612 0.5612 0.8547
Ge5 0.7411 0.7411 0.7100
Pt1 0.3530 0.3530 0.7594
Pt2 0.6470 0.6470 0.2406

Principal peaks in the range 2θ = 10–90°, by angle:
d [Å], 2θ/deg, I_rel
7.179, 12.33, 77
3.941, 22.56, 46
3.667, 24.27, 40
2.531, 35.47, 56
2.323, 38.77, 35
2.293, 39.30, 31
2.259, 39.90, 100
2.104, 42.98, 46

10.
Starting from a crystal structure in Alexandria, relaxed with GGA-PBE, the powder X-ray diffraction pattern of ScGePt was simulated for λ = 1.5418 Å (Cu Kα).
No peak broadening, texture or thermal motion is included.

Atomic structure:
Cell: 10.8437 10.8437 10.8437 Å, 157.32 46.83 139.60°
Sites, in units of the cell vectors:
Sc1 0.0000 0.0000 0.0000
Sc2 0.2465 0.0793 0.1671
Sc3 0.3268 0.9943 0.3325
Sc4 0.5829 0.0829 0.5000
Sc5 0.6617 0.9943 0.6675
Sc6 0.9122 0.0793 0.8329
Ge1 0.3145 0.3816 0.9330
Ge2 0.4486 0.3816 0.0670
Ge3 0.4605 0.6940 0.7665
Ge4 0.7850 0.3806 0.4044
Ge5 0.9275 0.6940 0.2335
Ge6 0.9761 0.3806 0.5956
Pt1 0.1034 0.3686 0.7348
Pt2 0.1359 0.7092 0.4267
Pt3 0.2826 0.7092 0.5733
Pt4 0.6031 0.7046 0.8985
Pt5 0.6338 0.3686 0.2652
Pt6 0.8061 0.7046 0.1015

Principal peaks in the range 2θ = 10–90°, by angle:
d [Å], 2θ/deg, I_rel
3.705, 24.02, 46
3.317, 26.88, 60
2.483, 36.18, 39
2.471, 36.35, 87
2.154, 41.94, 100
2.132, 42.40, 53
2.121, 42.63, 35
1.807, 50.52, 51

11.
Starting from a crystal structure in Alexandria, relaxed with GGA-PBE, the powder X-ray diffraction pattern of ScSi2GePt was simulated for λ = 1.5418 Å (Cu Kα).
No peak broadening, texture or thermal motion is included.

Atomic structure:
Cell: 4.8919 4.8919 4.9529 Å, 90.00 90.00 90.00°
Sites, in units of the cell vectors:
Sc1 0.0000 0.0000 0.0000
Si1 0.0000 0.5000 0.0000
Si2 0.5000 0.0000 0.0000
Ge1 0.0000 0.0000 0.5000
Pt1 0.5000 0.5000 0.5000

Principal peaks in the range 2θ = 10–90°, by angle:
d [Å], 2θ/deg, I_rel
4.953, 17.91, 31
3.480, 25.59, 56
3.459, 25.75, 69
2.836, 31.55, 100
2.476, 36.28, 30
2.446, 36.74, 58
2.014, 45.02, 31
1.740, 52.59, 41

12.
Starting from a crystal structure in Alexandria, relaxed with GGA-PBE, the powder X-ray diffraction pattern of Ge2Te2PtSe2 was simulated for λ = 1.5418 Å (Cu Kα).
No peak broadening, texture or thermal motion is included.

Atomic structure:
Cell: 3.8723 6.0719 9.1536 Å, 96.91 102.15 108.59°
Sites, in units of the cell vectors:
Ge1 0.0552 0.2880 0.3214
Ge2 0.9448 0.7120 0.6786
Te1 0.2935 0.7607 0.3252
Te2 0.7065 0.2393 0.6748
Pt1 0.0000 0.0000 0.5000
Se1 0.4454 0.2466 0.1427
Se2 0.5546 0.7534 0.8573

Principal peaks in the range 2θ = 10–90°, by angle:
d [Å], 2θ/deg, I_rel
8.764, 10.09, 100
5.636, 15.72, 16
3.858, 23.05, 44
3.015, 29.63, 90
2.624, 34.17, 24
2.453, 36.63, 17
2.133, 42.37, 29
1.936, 46.93, 18

Copy entry 10 word for word.
Starting from a crystal structure in Alexandria, relaxed with GGA-PBE, the powder X-ray diffraction pattern of ScGePt was simulated for λ = 1.5418 Å (Cu Kα).
No peak broadening, texture or thermal motion is included.

Atomic structure:
Cell: 10.8437 10.8437 10.8437 Å, 157.32 46.83 139.60°
Sites, in units of the cell vectors:
Sc1 0.0000 0.0000 0.0000
Sc2 0.2465 0.0793 0.1671
Sc3 0.3268 0.9943 0.3325
Sc4 0.5829 0.0829 0.5000
Sc5 0.6617 0.9943 0.6675
Sc6 0.9122 0.0793 0.8329
Ge1 0.3145 0.3816 0.9330
Ge2 0.4486 0.3816 0.0670
Ge3 0.4605 0.6940 0.7665
Ge4 0.7850 0.3806 0.4044
Ge5 0.9275 0.6940 0.2335
Ge6 0.9761 0.3806 0.5956
Pt1 0.1034 0.3686 0.7348
Pt2 0.1359 0.7092 0.4267
Pt3 0.2826 0.7092 0.5733
Pt4 0.6031 0.7046 0.8985
Pt5 0.6338 0.3686 0.2652
Pt6 0.8061 0.7046 0.1015

Principal peaks in the range 2θ = 10–90°, by angle:
d [Å], 2θ/deg, I_rel
3.705, 24.02, 46
3.317, 26.88, 60
2.483, 36.18, 39
2.471, 36.35, 87
2.154, 41.94, 100
2.132, 42.40, 53
2.121, 42.63, 35
1.807, 50.52, 51